Calculated powder diffraction line list
Compound: Mg2Ni12P7
Radiation: Cu Kα (weighted mean of Kα1 and Kα2)
Structure: a structure optimized by DFT (PBE)
Neutral-atom scattering factors, no anomalous dispersion.

Principal peaks in the range 2θ from 10° to 80°, by angle:
- 2θ = 11.32°, d 7.820, intensity 17
- 2θ = 19.66°, d 4.515, intensity 17
- 2θ = 39.60°, d 2.276, intensity 100
- 2θ = 42.98°, d 2.104, intensity 13
- 2θ = 46.45°, d 1.955, intensity 12
- 2θ = 49.17°, d 1.853, intensity 31
- 2θ = 50.90°, d 1.794, intensity 17
- 2θ = 51.22°, d 1.783, intensity 22
- 2θ = 53.45°, d 1.714, intensity 10
- 2θ = 53.72°, d 1.706, intensity 19
- 2θ = 75.11°, d 1.265, intensity 10
- 2θ = 77.40°, d 1.233, intensity 12

```
Mg2Ni12P7
1.0
9.0293 0.0000 0.0000
-4.5146 7.8196 0.0000
0.0000 0.0000 3.5668
Mg Ni P
2 12 7
Direct
0.0000 0.0000 0.0000
0.3333 0.6667 0.5000
0.0393 0.7720 0.5000
0.1027 0.3887 0.0000
0.2280 0.2673 0.5000
0.2860 0.8973 0.0000
0.4521 0.2397 0.0000
0.5118 0.0552 0.5000
0.5433 0.4882 0.5000
0.6113 0.7140 0.0000
0.7327 0.9607 0.5000
0.7603 0.2124 0.0000
0.7876 0.5479 0.0000
0.9448 0.4567 0.5000
0.0767 0.6280 0.0000
0.2549 0.0400 0.5000
0.3720 0.4487 0.0000
0.5513 0.9233 0.0000
0.6667 0.3333 0.5000
0.7852 0.7451 0.5000
0.9600 0.2148 0.5000
```

Calculated powder diffraction line list
Compound: Tb3Sn6Pb
Radiation: Cu Kα (weighted mean of Kα1 and Kα2)
Structure: a structure optimized by DFT (PBE)
Neutral-atom scattering factors, no anomalous dispersion.

Principal peaks in the range 2θ from 10° to 80°, by angle:
- 2θ = 28.26°, d 3.158, intensity 3
- 2θ = 32.99°, d 2.715, intensity 100
- 2θ = 33.67°, d 2.662, intensity 20
- 2θ = 40.11°, d 2.248, intensity 16
- 2θ = 40.73°, d 2.215, intensity 16
- 2θ = 42.56°, d 2.124, intensity 3
- 2θ = 53.34°, d 1.718, intensity 11
- 2θ = 53.84°, d 1.703, intensity 11
- 2θ = 58.49°, d 1.578, intensity 11
- 2θ = 59.78°, d 1.547, intensity 12
- 2θ = 68.38°, d 1.372, intensity 13
- 2θ = 69.23°, d 1.357, intensity 23

```
Tb3Sn6Pb
1.0
2.2152 -13.3111 0.0000
2.2152 13.3111 0.0000
0.0000 0.0000 4.4963
Tb Sn Pb
3 6 1
Direct
0.0000 0.0000 0.0000
0.3109 0.6891 0.5000
0.6891 0.3109 0.5000
0.0971 0.9029 0.5000
0.2117 0.7883 0.0000
0.4024 0.5976 0.0000
0.5976 0.4024 0.0000
0.7883 0.2117 0.0000
0.9029 0.0971 0.5000
0.5000 0.5000 0.5000
```

Calculated powder diffraction line list
Compound: Hf5CoAs3
Radiation: Cu Kα (weighted mean of Kα1 and Kα2)
Structure: a structure optimized by DFT (PBE)
Neutral-atom scattering factors, no anomalous dispersion.

Principal peaks in the range 2θ from 10° to 80°, by angle:
- 2θ = 30.03°, d 2.975, intensity 58
- 2θ = 33.05°, d 2.710, intensity 47
- 2θ = 33.59°, d 2.668, intensity 63
- 2θ = 35.43°, d 2.533, intensity 48
- 2θ = 35.53°, d 2.526, intensity 81
- 2θ = 35.93°, d 2.500, intensity 100
- 2θ = 36.35°, d 2.472, intensity 66
- 2θ = 37.21°, d 2.416, intensity 53
- 2θ = 37.82°, d 2.379, intensity 38
- 2θ = 39.64°, d 2.274, intensity 40
- 2θ = 43.38°, d 2.086, intensity 39
- 2θ = 49.60°, d 1.838, intensity 59

```
Hf5CoAs3
1.0
17.3877 0.0000 0.0000
0.0000 3.6757 0.0000
0.0000 0.0000 10.4350
Hf Co As
20 4 12
Direct
0.0217 0.2500 0.1202
0.0774 0.7500 0.5569
0.1319 0.2500 0.8154
0.1671 0.7500 0.2580
0.2237 0.2500 0.4841
0.2763 0.7500 0.9841
0.3329 0.2500 0.7580
0.3681 0.7500 0.3154
0.4226 0.2500 0.0569
0.4783 0.7500 0.6202
0.5217 0.2500 0.3798
0.5774 0.7500 0.9431
0.6319 0.2500 0.6846
0.6671 0.7500 0.2420
0.7237 0.2500 0.0159
0.7763 0.7500 0.5159
0.8329 0.2500 0.7420
0.8681 0.7500 0.1846
0.9226 0.2500 0.4431
0.9783 0.7500 0.8798
0.0918 0.2500 0.3681
0.4082 0.7500 0.8681
0.5918 0.2500 0.1319
0.9082 0.7500 0.6319
0.0074 0.7500 0.3114
0.1192 0.7500 0.0090
0.2192 0.7500 0.6856
0.2808 0.2500 0.1856
0.3808 0.2500 0.5090
0.4926 0.2500 0.8114
0.5074 0.7500 0.1886
0.6192 0.7500 0.4910
0.7192 0.7500 0.8144
0.7808 0.2500 0.3144
0.8808 0.2500 0.9910
0.9926 0.2500 0.6886
```

Repeat the first record exactly.
Calculated powder diffraction line list
Compound: Mg2Ni12P7
Radiation: Cu Kα (weighted mean of Kα1 and Kα2)
Structure: a structure optimized by DFT (PBE)
Neutral-atom scattering factors, no anomalous dispersion.

Principal peaks in the range 2θ from 10° to 80°, by angle:
- 2θ = 11.32°, d 7.820, intensity 17
- 2θ = 19.66°, d 4.515, intensity 17
- 2θ = 39.60°, d 2.276, intensity 100
- 2θ = 42.98°, d 2.104, intensity 13
- 2θ = 46.45°, d 1.955, intensity 12
- 2θ = 49.17°, d 1.853, intensity 31
- 2θ = 50.90°, d 1.794, intensity 17
- 2θ = 51.22°, d 1.783, intensity 22
- 2θ = 53.45°, d 1.714, intensity 10
- 2θ = 53.72°, d 1.706, intensity 19
- 2θ = 75.11°, d 1.265, intensity 10
- 2θ = 77.40°, d 1.233, intensity 12

```
Mg2Ni12P7
1.0
9.0293 0.0000 0.0000
-4.5146 7.8196 0.0000
0.0000 0.0000 3.5668
Mg Ni P
2 12 7
Direct
0.0000 0.0000 0.0000
0.3333 0.6667 0.5000
0.0393 0.7720 0.5000
0.1027 0.3887 0.0000
0.2280 0.2673 0.5000
0.2860 0.8973 0.0000
0.4521 0.2397 0.0000
0.5118 0.0552 0.5000
0.5433 0.4882 0.5000
0.6113 0.7140 0.0000
0.7327 0.9607 0.5000
0.7603 0.2124 0.0000
0.7876 0.5479 0.0000
0.9448 0.4567 0.5000
0.0767 0.6280 0.0000
0.2549 0.0400 0.5000
0.3720 0.4487 0.0000
0.5513 0.9233 0.0000
0.6667 0.3333 0.5000
0.7852 0.7451 0.5000
0.9600 0.2148 0.5000
```